[1]
For Pr5Nd5Sn6, a DFT-relaxed cell (GGA-PBE, Alexandria) gives the calculated PXRD pattern in this record (Cu Kα).
No peak broadening, texture or thermal motion is included.

Principal peaks in the range 10 to 90 degrees two-theta, by angle:
two_theta	I (rel.)	index
28.3	18	2 2 0
29.2	31	0 5 1
32.0	100	1 5 1
32.4	81	2 0 2
33.2	43	0 6 0
47.1	20	2 6 2
49.8	29	3 5 1
63.5	18	2 10 0

Crystal structure
```
data_Pr5Nd5Sn6
_space_group_name_H-M_alt 'A m m 2'
_space_group_IT_number 38
_cell_length_a 6.8605
_cell_length_b 16.1801
_cell_length_c 9.3537
_cell_angle_alpha 90.00
_cell_angle_beta 90.00
_cell_angle_gamma 90.00
loop_
_space_group_symop_operation_xyz
'x,y,z'
'-x,-y,z'
'-x,y,z'
'x,-y,z'
'x,y+1/2,z+1/2'
'-x,-y+1/2,z+1/2'
'-x,y+1/2,z+1/2'
'x,-y+1/2,z+1/2'
loop_
_atom_site_label
_atom_site_fract_x
_atom_site_fract_y
_atom_site_fract_z
_atom_site_occupancy
Pr1 0.0000 0.0000 0.0000 1
Pr2 0.0000 0.1212 0.3650 1
Pr3 0.5000 0.1214 0.1219 1
Nd1 0.2501 0.1668 0.7435 1
Nd2 0.5000 0.0000 0.4874 1
Sn1 0.0000 0.0000 0.6380 1
Sn2 0.0000 0.1972 0.0463 1
Sn3 0.5000 0.0000 0.8484 1
Sn4 0.5000 0.1965 0.4407 1
```

=====

[2]
For NaLi4Mg5, a DFT-relaxed cell (GGA-PBE, Alexandria) gives the calculated PXRD pattern in this record (Cu Kα).
No peak broadening, texture or thermal motion is included.

Principal peaks in the range 10 to 90 degrees two-theta, by angle:
two_theta	I (rel.)	index
26.1	43	1 0 0
28.6	20	0 0 6
32.5	21	1 0 4
35.6	100	1 0 5
37.3	70	1 1 0
39.1	22	1 0 6
53.7	23	2 0 0
66.1	30	2 1 5

Crystal structure
```
data_NaLi4Mg5
_space_group_name_H-M_alt 'P 4/m m m'
_space_group_IT_number 123
_space_group_name_Hall '-P 4 2'
_cell_length_a 3.4116
_cell_length_b 3.4116
_cell_length_c 18.7100
_cell_angle_alpha 90.00
_cell_angle_beta 90.00
_cell_angle_gamma 90.00
loop_
_atom_site_label
_atom_site_fract_x
_atom_site_fract_y
_atom_site_fract_z
_atom_site_occupancy
Na1 0.0000 0.0000 0.0000 1
Li1 0.0000 0.0000 0.2251 1
Li2 0.0000 0.0000 0.4083 1
Mg1 0.5000 0.5000 0.1333 1
Mg2 0.5000 0.5000 0.3166 1
Mg3 0.5000 0.5000 0.5000 1
```

=====

[3]
For NaPaTe4, a DFT-relaxed cell (GGA-PBE, Alexandria) gives the calculated PXRD pattern in this record (Cu Kα).
No peak broadening, texture or thermal motion is included.

Principal peaks in the range 10 to 90 degrees two-theta, by angle:
two_theta	I (rel.)	index
11.0	78	0 0 1
21.4	27	1 1 1
28.8	66	1 1 2
31.2	100	2 1 1
34.4	53	2 0 2
41.6	43	3 1 0
44.9	29	2 1 3
61.8	25	3 3 2

Crystal structure
```
data_NaPaTe4
_space_group_name_H-M_alt 'P 4/n b m'
_space_group_IT_number 125
_cell_length_a 6.8606
_cell_length_b 6.8606
_cell_length_c 8.0380
_cell_angle_alpha 90.00
_cell_angle_beta 90.00
_cell_angle_gamma 90.00
loop_
_space_group_symop_operation_xyz
'x,y,z'
'-x,-y,-z'
'-y+1/2,x,z'
'y+1/2,-x,-z'
'-x+1/2,-y+1/2,z'
'x+1/2,y+1/2,-z'
'y,-x+1/2,z'
'-y,x+1/2,-z'
'x,-y+1/2,-z'
'-x,y+1/2,z'
'-y+1/2,-x+1/2,-z'
'y+1/2,x+1/2,z'
'-x+1/2,y,-z'
'x+1/2,-y,z'
'y,x,-z'
'-y,-x,z'
loop_
_atom_site_label
_atom_site_fract_x
_atom_site_fract_y
_atom_site_fract_z
_atom_site_occupancy
Na1 0.2500 0.2500 0.0000 1
Pa1 0.2500 0.2500 0.5000 1
Te1 0.0921 0.5921 0.2767 1
```

=====

[4]
For ZrTi4Al4, a DFT-relaxed cell (GGA-PBE, Alexandria) gives the calculated PXRD pattern in this record (Cu Kα).
No peak broadening, texture or thermal motion is included.

Principal peaks in the range 10 to 90 degrees two-theta, by angle:
two_theta	I (rel.)	index
14.3	24	1 1 0
31.9	17	2 1 1
38.1	100	3 0 1
43.9	32	3 3 0
44.9	15	0 0 2
64.6	19	3 3 2
76.8	22	6 3 1
78.3	11	3 0 3

Crystal structure
```
data_ZrTi4Al4
_space_group_name_H-M_alt 'I 4/m m m'
_space_group_IT_number 139
_space_group_name_Hall '-I 4 2'
_cell_length_a 8.7455
_cell_length_b 8.7455
_cell_length_c 4.0352
_cell_angle_alpha 90.00
_cell_angle_beta 90.00
_cell_angle_gamma 90.00
loop_
_atom_site_label
_atom_site_fract_x
_atom_site_fract_y
_atom_site_fract_z
_atom_site_occupancy
Zr1 0.0000 0.0000 0.0000 1
Ti1 0.1742 0.1742 0.5000 1
Al1 0.0000 0.3323 0.0000 1
```

=====

[5]
For TcAuClO4, a DFT-relaxed cell (GGA-PBE, Alexandria) gives the calculated PXRD pattern in this record (Cu Kα).
No peak broadening, texture or thermal motion is included.

Principal peaks in the range 10 to 90 degrees two-theta, by angle:
two_theta	I (rel.)	index
15.0	61	0 0 1
16.6	56	2 0 -1
23.4	79	2 0 1
24.5	85	3 1 -1
25.3	100	0 2 0
26.4	75	4 0 -1
31.5	50	1 1 -2
36.9	41	4 2 -1

Crystal structure
```
data_TcAuClO4
_space_group_name_H-M_alt 'C 1 2/m 1'
_space_group_IT_number 12
_cell_length_a 13.8788
_cell_length_b 7.0530
_cell_length_c 6.2410
_cell_angle_alpha 90.00
_cell_angle_beta 109.18
_cell_angle_gamma 90.00
loop_
_space_group_symop_operation_xyz
'x,y,z'
'-x,-y,-z'
'-x,y,-z'
'x,-y,z'
'x+1/2,y+1/2,z'
'-x+1/2,-y+1/2,-z'
'-x+1/2,y+1/2,-z'
'x+1/2,-y+1/2,z'
loop_
_atom_site_label
_atom_site_fract_x
_atom_site_fract_y
_atom_site_fract_z
_atom_site_occupancy
Tc1 0.1438 0.0000 0.2586 1
Au1 0.1554 0.5000 0.1070 1
Cl1 0.0479 0.5000 0.7153 1
O1 0.0218 0.0000 0.2663 1
O2 0.1647 0.2037 0.1129 1
O3 0.2286 0.0000 0.5357 1
```

=====

[6]
For CsLaTeH2, a DFT-relaxed cell (GGA-PBE, Alexandria) gives the calculated PXRD pattern in this record (Cu Kα).
No peak broadening, texture or thermal motion is included.

Principal peaks in the range 10 to 90 degrees two-theta, by angle:
two_theta	I (rel.)	index
24.5	51	1 0 1
25.3	22	0 1 2
28.2	100	1 0 4
30.2	85	0 1 5
35.1	37	1 0 7
42.7	55	1 1 0
47.1	27	0 1 11
54.5	26	1 1 9

Crystal structure
```
data_CsLaTeH2
_space_group_name_H-M_alt 'R 3 m'
_space_group_IT_number 160
_space_group_name_Hall 'R 3 -2"'
_cell_length_a 4.2363
_cell_length_b 4.2363
_cell_length_c 24.9870
_cell_angle_alpha 90.00
_cell_angle_beta 90.00
_cell_angle_gamma 120.00
loop_
_atom_site_label
_atom_site_fract_x
_atom_site_fract_y
_atom_site_fract_z
_atom_site_occupancy
Cs1 0.0000 0.0000 0.0000 1
La1 0.0000 0.0000 0.1915 1
Te1 0.0000 0.0000 0.4423 1
H1 0.0000 0.0000 0.5798 1
H2 0.0000 0.0000 0.8720 1
```

=====

[7]
For LaCd2Ni2, a DFT-relaxed cell (GGA-PBE, Alexandria) gives the calculated PXRD pattern in this record (Cu Kα).
No peak broadening, texture or thermal motion is included.

Principal peaks in the range 10 to 90 degrees two-theta, by angle:
two_theta	I (rel.)	index
28.2	77	1 1 -1
30.8	45	1 1 1
35.2	28	0 0 2
35.5	100	3 1 0
37.3	39	4 0 -1
44.5	36	0 2 0
44.7	31	1 1 2
45.7	34	3 1 -2

Crystal structure
```
data_LaCd2Ni2
_space_group_name_H-M_alt 'C 1 2/m 1'
_space_group_IT_number 12
_cell_length_a 9.9259
_cell_length_b 4.0741
_cell_length_c 5.2479
_cell_angle_alpha 90.00
_cell_angle_beta 103.42
_cell_angle_gamma 90.00
loop_
_space_group_symop_operation_xyz
'x,y,z'
'-x,-y,-z'
'-x,y,-z'
'x,-y,z'
'x+1/2,y+1/2,z'
'-x+1/2,-y+1/2,-z'
'-x+1/2,y+1/2,-z'
'x+1/2,-y+1/2,z'
loop_
_atom_site_label
_atom_site_fract_x
_atom_site_fract_y
_atom_site_fract_z
_atom_site_occupancy
La1 0.0000 0.0000 0.0000 1
Cd1 0.1528 0.5000 0.5729 1
Ni1 0.2232 0.5000 0.1034 1
```

=====

[8]
For Sn2Pd5, a DFT-relaxed cell (GGA-PBE, Alexandria) gives the calculated PXRD pattern in this record (Cu Kα).
No peak broadening, texture or thermal motion is included.

Principal peaks in the range 10 to 90 degrees two-theta, by angle:
two_theta	I (rel.)	index
34.7	28	1 1 2
38.1	25	1 5 0
39.5	75	2 4 0
41.6	100	2 0 2
42.4	75	0 4 2
64.8	24	3 5 2
74.2	14	2 8 2
78.4	20	2 4 4

Crystal structure
```
data_Sn2Pd5
_space_group_name_H-M_alt 'I b a m'
_space_group_IT_number 72
_space_group_name_Hall '-I 2 2c'
_cell_length_a 6.6065
_cell_length_b 12.6474
_cell_length_c 5.7708
_cell_angle_alpha 90.00
_cell_angle_beta 90.00
_cell_angle_gamma 90.00
loop_
_atom_site_label
_atom_site_fract_x
_atom_site_fract_y
_atom_site_fract_z
_atom_site_occupancy
Sn1 0.2194 0.1183 0.0000 1
Pd1 0.0000 0.2700 0.2500 1
Pd2 0.0000 0.5000 0.2500 1
Pd3 0.1888 0.1013 0.5000 1
```

=====

[9]
For YThRh, a DFT-relaxed cell (GGA-PBE, Alexandria) gives the calculated PXRD pattern in this record (Cu Kα).
No peak broadening, texture or thermal motion is included.

Principal peaks in the range 10 to 90 degrees two-theta, by angle:
two_theta	I (rel.)	index
15.6	27	0 0 2
25.8	21	1 0 1
34.2	100	1 0 3
35.0	56	1 1 0
47.2	15	1 0 5
50.3	20	2 0 0
62.2	36	2 1 3
84.4	16	3 1 0

Crystal structure
```
data_YThRh
_space_group_name_H-M_alt 'I 4 m m'
_space_group_IT_number 107
_space_group_name_Hall 'I 4 -2'
_cell_length_a 3.6279
_cell_length_b 3.6279
_cell_length_c 11.3685
_cell_angle_alpha 90.00
_cell_angle_beta 90.00
_cell_angle_gamma 90.00
loop_
_atom_site_label
_atom_site_fract_x
_atom_site_fract_y
_atom_site_fract_z
_atom_site_occupancy
Y1 0.0000 0.0000 0.0000 1
Th1 0.0000 0.0000 0.7083 1
Rh1 0.0000 0.0000 0.3312 1
```

=====

[10]
For K3Sn11, a DFT-relaxed cell (GGA-PBE, Alexandria) gives the calculated PXRD pattern in this record (Cu Kα).
No peak broadening, texture or thermal motion is included.

Principal peaks in the range 10 to 90 degrees two-theta, by angle:
two_theta	I (rel.)	index
15.2	32	0 2 0
29.4	100	1 2 3
31.1	60	1 3 2
33.5	56	2 0 0
35.7	45	1 4 1
37.9	26	0 0 6
38.2	46	1 3 4
57.9	28	1 4 7

Crystal structure
```
data_K3Sn11
_space_group_name_H-M_alt 'I m m m'
_space_group_IT_number 71
_space_group_name_Hall '-I 2 2'
_cell_length_a 5.3577
_cell_length_b 11.6375
_cell_length_c 14.2601
_cell_angle_alpha 90.00
_cell_angle_beta 90.00
_cell_angle_gamma 90.00
loop_
_atom_site_label
_atom_site_fract_x
_atom_site_fract_y
_atom_site_fract_z
_atom_site_occupancy
K1 0.0000 0.0000 0.0000 1
K2 0.0000 0.0000 0.2958 1
Sn1 0.0000 0.1797 0.5000 1
Sn2 0.0000 0.2744 0.1472 1
Sn3 0.0000 0.3646 0.3492 1
Sn4 0.0000 0.5000 0.0000 1
```

=====

[11]
For Cd3Cl5F, a DFT-relaxed cell (GGA-PBE, Alexandria) gives the calculated PXRD pattern in this record (Cu Kα).
No peak broadening, texture or thermal motion is included.

Principal peaks in the range 10 to 90 degrees two-theta, by angle:
two_theta	I (rel.)	index
19.9	87	1 0 -3
21.2	78	1 0 3
27.3	100	1 1 0
39.7	78	2 1 -3
40.5	21	2 0 -6
41.1	56	1 1 6
46.9	21	0 2 0
50.7	21	0 1 9

Crystal structure
```
data_Cd3Cl5F
_space_group_name_H-M_alt 'P 1 2/m 1'
_space_group_IT_number 10
_cell_length_a 6.1356
_cell_length_b 3.8750
_cell_length_c 18.3165
_cell_angle_alpha 90.00
_cell_angle_beta 93.53
_cell_angle_gamma 90.00
loop_
_space_group_symop_operation_xyz
'x,y,z'
'-x,-y,-z'
'-x,y,-z'
'x,-y,z'
loop_
_atom_site_label
_atom_site_fract_x
_atom_site_fract_y
_atom_site_fract_z
_atom_site_occupancy
Cd1 0.0000 0.0000 0.0000 1
Cd2 0.0312 0.0000 0.6782 1
Cd3 0.4675 0.5000 0.8224 1
Cd4 0.5000 0.5000 0.5000 1
Cl1 0.1518 0.5000 0.9206 1
Cl2 0.1902 0.5000 0.2624 1
Cl3 0.2571 0.0000 0.4435 1
Cl4 0.2568 0.5000 0.6239 1
Cl5 0.3543 0.0000 0.0950 1
F1 0.3090 0.0000 0.7727 1
```

=====

[12]
For K5Hg2F12, a DFT-relaxed cell (GGA-PBE, Alexandria) gives the calculated PXRD pattern in this record (Cu Kα).
No peak broadening, texture or thermal motion is included.

Principal peaks in the range 10 to 90 degrees two-theta, by angle:
two_theta	I (rel.)	index
14.1	100	1 0 0
15.3	69	0 1 1
17.3	33	1 1 1
21.0	39	1 1 -1
23.9	42	0 0 2
27.8	50	1 0 -2
28.1	35	1 0 2
30.4	50	2 2 1

Crystal structure
```
data_K5Hg2F12
_space_group_name_H-M_alt 'P -1'
_space_group_IT_number 2
_cell_length_a 6.8197
_cell_length_b 7.6863
_cell_length_c 7.6892
_cell_angle_alpha 74.99
_cell_angle_beta 84.89
_cell_angle_gamma 67.21
loop_
_space_group_symop_operation_xyz
'x,y,z'
'-x,-y,-z'
loop_
_atom_site_label
_atom_site_fract_x
_atom_site_fract_y
_atom_site_fract_z
_atom_site_occupancy
K1 0.0000 0.0000 0.0000 1
K2 0.0084 0.2660 0.4285 1
K3 0.4918 0.3117 0.2101 1
Hg1 0.4675 0.2126 0.7490 1
F1 0.2486 0.4607 0.8581 1
F2 0.2500 0.0782 0.7315 1
F3 0.2811 0.4151 0.4982 1
F4 0.2862 0.8812 0.4633 1
F5 0.3159 0.6954 0.1508 1
F6 0.3177 0.0854 0.1138 1
```

=====

[13]
For PrNd2HgC, a DFT-relaxed cell (GGA-PBE, Alexandria) gives the calculated PXRD pattern in this record (Cu Kα).
No peak broadening, texture or thermal motion is included.

Principal peaks in the range 10 to 90 degrees two-theta, by angle:
two_theta	I (rel.)	index
29.1	23	2 1 1
30.3	100	2 0 2
34.7	24	0 0 4
35.3	30	2 2 0
38.3	11	2 1 3
50.4	22	2 2 4
59.5	22	2 0 6
60.3	13	4 2 2

Crystal structure
```
data_PrNd2HgC
_space_group_name_H-M_alt 'I 4/m c m'
_space_group_IT_number 140
_space_group_name_Hall '-I 4 2c'
_cell_length_a 7.1822
_cell_length_b 7.1822
_cell_length_c 10.3461
_cell_angle_alpha 90.00
_cell_angle_beta 90.00
_cell_angle_gamma 90.00
loop_
_atom_site_label
_atom_site_fract_x
_atom_site_fract_y
_atom_site_fract_z
_atom_site_occupancy
Pr1 0.0000 0.0000 0.2500 1
Nd1 0.1937 0.3063 0.0000 1
Hg1 0.0000 0.5000 0.2500 1
C1 0.0000 0.0000 0.0000 1
```